Starting from a structure optimized by DFT (GGA-PBE), the XRD peak list of CsRbZrS3 was computed for Cu Kα, 1.54184 Å.
Neutral-atom scattering factors, no anomalous dispersion.

The 10 most intense peaks (5° ≤ 2θ ≤ 70°), in order of rising 2θ:
d (Å)  2θ (°)  I_rel
9.195  9.62  50.9
4.852  18.29  48.6
3.583  24.85  43.5
3.273  27.25  100.0
3.156  28.28  29.1
2.856  31.33  51.2
2.839  31.51  19.0
2.666  33.61  22.3
2.152  41.99  59.7
2.032  44.60  38.0

Structural model:
Unit cell a=9.397 b=9.397 c=11.422 alpha=90.00 beta=90.00 gamma=156.23
Fractional positions:
Cs: 0.155 0.845 0.750
Cs: 0.845 0.155 0.250
Rb: 0.134 0.866 0.250
Rb: 0.866 0.134 0.750
Zr: 0.500 0.500 0.000
Zr: 0.500 0.500 0.500
S: 0.093 0.907 0.001
S: 0.093 0.907 0.499
S: 0.496 0.504 0.250
S: 0.504 0.496 0.750
S: 0.907 0.093 0.501
S: 0.907 0.093 0.999